Computed PXRD pattern of In2Bi2O7 for Cu Kα (λ = 1.5418 Å), from a DFT-relaxed cell (GGA-PBE, Alexandria).
Intensities are scaled so that the largest is 100.

Cell and atoms:
```
data_In2Bi2O7
_cell_length_a 8.1083
_cell_length_b 5.5600
_cell_length_c 14.0756
_cell_angle_alpha 90.00
_cell_angle_beta 98.82
_cell_angle_gamma 90.00
_space_group_name_H-M_alt 'P 1 21 1'
_space_group_IT_number 4
_space_group_name_Hall 'P 2yb'
loop_
_atom_site_label
_atom_site_type_symbol
_atom_site_fract_x
_atom_site_fract_y
_atom_site_fract_z
In1 In 0.0211 0.0000 0.1153
In2 In 0.0740 0.5165 0.3156
In3 In 0.3855 0.9987 0.6794
In4 In 0.4616 0.4842 0.8791
Bi1 Bi 0.1668 0.5633 0.5497
Bi2 Bi 0.2222 0.0013 0.9226
Bi3 Bi 0.2981 0.4653 0.1426
Bi4 Bi 0.3885 0.0254 0.3721
O1 O 0.0313 0.1806 0.8127
O2 O 0.0375 0.7986 0.4292
O3 O 0.0716 0.3444 0.0353
O4 O 0.1462 0.8177 0.6605
O5 O 0.1541 0.2236 0.2257
O6 O 0.2091 0.3401 0.4357
O7 O 0.2219 0.6327 0.8733
O8 O 0.2703 0.8313 0.0880
O9 O 0.3290 0.6466 0.2869
O10 O 0.3582 0.3543 0.6335
O11 O 0.4014 0.7825 0.5483
O12 O 0.4169 0.1259 0.8293
O13 O 0.4274 0.2946 0.0345
O14 O 0.4784 0.2018 0.2405
```

Main lines, in order of rising 2θ (15 to 90 degrees two-theta):
- 25.6 deg, 3.477 Å, intensity 43, hkl 0 0 4
- 26.2 deg, 3.406 Å, intensity 34, hkl 1 1 -3
- 27.4 deg, 3.254 Å, intensity 39, hkl 2 1 0
- 28.8 deg, 3.096 Å, intensity 47, hkl 2 1 -2
- 29.0 deg, 3.081 Å, intensity 100, hkl 2 1 1
- 30.3 deg, 2.948 Å, intensity 28, hkl 0 1 4
- 31.6 deg, 2.831 Å, intensity 84, hkl 2 1 -3
- 31.8 deg, 2.813 Å, intensity 41, hkl 2 1 2
- 32.2 deg, 2.780 Å, intensity 74, hkl 0 2 0
- 44.7 deg, 2.027 Å, intensity 27, hkl 4 0 -1